Structure and simulated powder XRD pattern of Tm3Zr2Pb3 (a DFT-relaxed cell (PBE, Alexandria); Cu Kα X-rays).

Structural model:
```
Tm3Zr2Pb3
1.0
8.8715 0.0000 0.0000
-4.4358 7.6830 0.0000
0.0000 0.0000 6.1320
Tm Zr Pb
6 4 6
direct
0.0000 0.2386 0.2500
0.0000 0.7614 0.7500
0.2386 0.0000 0.2500
0.2386 0.2386 0.7500
0.7614 0.0000 0.7500
0.7614 0.7614 0.2500
0.3333 0.6667 0.0000
0.3333 0.6667 0.5000
0.6667 0.3333 0.0000
0.6667 0.3333 0.5000
0.0000 0.3971 0.7500
0.0000 0.6029 0.2500
0.3971 0.0000 0.7500
0.3971 0.3971 0.2500
0.6029 0.0000 0.2500
0.6029 0.6029 0.7500
```

Main lines, by angle (2θ from 10° to 80°):
20.02 deg, I = 12; 29.13 deg, I = 28; 30.79 deg, I = 17; 34.16 deg, I = 100; 35.04 deg, I = 25; 35.60 deg, I = 42; 43.39 deg, I = 10; 45.04 deg, I = 17; 54.93 deg, I = 26; 68.28 deg, I = 18

***

Structure and simulated powder XRD pattern of TmZrPb2 (a DFT-relaxed cell (PBE, Alexandria); Cu Kα X-rays).

Structural model:
```
TmZrPb2
1.0
4.8049 0.0000 0.0000
0.0000 4.8049 0.0000
0.0000 0.0000 4.4085
Tm Zr Pb
1 1 2
direct
0.0000 0.0000 0.0000
0.5000 0.5000 0.0000
0.0000 0.5000 0.5000
0.5000 0.0000 0.5000
```

Main lines, by angle (2θ from 10° to 80°):
26.23 deg, I = 4; 33.29 deg, I = 100; 37.43 deg, I = 37; 40.94 deg, I = 14; 53.98 deg, I = 13; 56.67 deg, I = 22; 64.91 deg, I = 30; 69.72 deg, I = 12; 69.91 deg, I = 12; 79.85 deg, I = 4

***

Structure and simulated powder XRD pattern of U8Pb3 (a DFT-relaxed cell (PBE, Alexandria); Cu Kα X-rays).

Structural model:
```
U8Pb3
1.0
6.0397 0.0000 0.0000
0.0000 8.9523 0.0000
0.0000 0.0000 9.7642
U Pb
16 6
direct
0.0000 0.0327 0.1470
0.0000 0.2005 0.6574
0.0000 0.4572 0.5524
0.0000 0.6719 0.0000
0.2314 0.4480 0.2627
0.2465 0.1018 0.4617
0.2535 0.8982 0.9617
0.2686 0.5520 0.7627
0.5000 0.3281 0.5000
0.5000 0.5428 0.0524
0.5000 0.7995 0.1574
0.5000 0.9673 0.6470
0.7314 0.5520 0.7627
0.7465 0.8982 0.9617
0.7535 0.1018 0.4617
0.7686 0.4480 0.2627
0.0000 0.3204 0.9726
0.0000 0.7629 0.3386
0.0000 0.8423 0.6697
0.5000 0.1577 0.1697
0.5000 0.2371 0.8386
0.5000 0.6796 0.4726
```

Main lines, by angle (2θ from 10° to 80°):
31.22 deg, I = 25; 31.34 deg, I = 45; 34.06 deg, I = 26; 34.77 deg, I = 67; 34.94 deg, I = 22; 36.39 deg, I = 100; 37.07 deg, I = 28; 37.26 deg, I = 55; 38.22 deg, I = 32; 64.88 deg, I = 21